1.
# PmBe2PdPt2
Computed powder diffractogram, Cu Kα (λ = 1.5418 Å). Input: DFT lattice parameters and positions (PBE).
Kinematic intensities with the Lorentz-polarization factor, no thermal factor.

Principal peaks in the range 10° ≤ 2θ ≤ 90°, in order of rising 2θ:
29.2 deg, intensity 38; 34.2 deg, intensity 100; 44.1 deg, intensity 26; 53.8 deg, intensity 28; 55.0 deg, intensity 27; 72.0 deg, intensity 12; 74.7 deg, intensity 21; 89.5 deg, intensity 15

Structural model:
abc: 6.7699 6.7699 6.7699
angles: 144.68 144.68 50.81
Atoms (fractional coordinates):
Pm1 0.0000 0.0000 0.0000
Be1 0.3222 0.3222 0.0000
Be2 0.6778 0.6778 0.0000
Pd1 0.5000 0.5000 0.0000
Pt1 0.2500 0.7500 0.5000
Pt2 0.7500 0.2500 0.5000

2.
# Pr3Be6Pd20
Computed powder diffractogram, Cu Kα (λ = 1.5418 Å). Input: DFT lattice parameters and positions (PBE).
Kinematic intensities with the Lorentz-polarization factor, no thermal factor.

Principal peaks in the range 10° ≤ 2θ ≤ 90°, in order of rising 2θ:
33.1 deg, intensity 28; 36.4 deg, intensity 36; 38.6 deg, intensity 100; 42.2 deg, intensity 23; 44.3 deg, intensity 23; 65.4 deg, intensity 30; 66.9 deg, intensity 14; 77.2 deg, intensity 16

Structural model:
abc: 8.5601 8.5601 8.5601
angles: 60.00 60.00 60.00
Atoms (fractional coordinates):
Pr1 0.0000 0.0000 0.0000
Pr2 0.2500 0.2500 0.2500
Pr3 0.7500 0.7500 0.7500
Be1 0.2732 0.2732 0.7268
Be2 0.2732 0.7268 0.2732
Be3 0.2732 0.7268 0.7268
Be4 0.7268 0.2732 0.2732
Be5 0.7268 0.2732 0.7268
Be6 0.7268 0.7268 0.2732
Pd1 0.0000 0.0000 0.3426
Pd2 0.0000 0.0000 0.6574
Pd3 0.0000 0.3426 0.0000
Pd4 0.0000 0.3426 0.6574
Pd5 0.0000 0.6574 0.0000
Pd6 0.0000 0.6574 0.3426
Pd7 0.1549 0.6150 0.6150
Pd8 0.3426 0.0000 0.0000
Pd9 0.3426 0.0000 0.6574
Pd10 0.3426 0.6574 0.0000
Pd11 0.3850 0.3850 0.3850
Pd12 0.3850 0.3850 0.8451
Pd13 0.3850 0.8451 0.3850
Pd14 0.6150 0.1549 0.6150
Pd15 0.6150 0.6150 0.1549
Pd16 0.6150 0.6150 0.6150
Pd17 0.6574 0.0000 0.0000
Pd18 0.6574 0.0000 0.3426
Pd19 0.6574 0.3426 0.0000
Pd20 0.8451 0.3850 0.3850

3.
# Pr2BePd5
Computed powder diffractogram, Cu Kα (λ = 1.5418 Å). Input: DFT lattice parameters and positions (PBE).
Kinematic intensities with the Lorentz-polarization factor, no thermal factor.

Principal peaks in the range 10° ≤ 2θ ≤ 90°, in order of rising 2θ:
18.0 deg, intensity 12; 36.4 deg, intensity 100; 41.6 deg, intensity 18; 42.7 deg, intensity 32; 61.1 deg, intensity 22; 72.6 deg, intensity 13; 74.0 deg, intensity 23; 77.4 deg, intensity 11

Structural model:
abc: 6.0663 6.0663 6.0663
angles: 120.79 120.79 88.64
Atoms (fractional coordinates):
Pr1 0.0000 0.5000 0.5000
Pr2 0.5000 0.0000 0.5000
Be1 0.2333 0.2333 0.0000
Pd1 0.5061 0.5061 0.0000
Pd2 0.5148 0.5148 0.5274
Pd3 0.5148 0.9874 0.0000
Pd4 0.9874 0.5148 0.0000
Pd5 0.9874 0.9874 0.4726